For KAsP, a DFT-relaxed cell (PBE, Alexandria) gives the theoretical X-ray powder pattern in this record (Cu Kα (λ = 1.5418 Å)).
Peak positions follow from Bragg's law for the DFT cell and can differ from measured ones.

Crystal structure
```
KAsP
1.0
4.353 0.000 0.000
-2.176 3.770 0.000
0.000 0.000 10.151
K As P
2 2 2
Cartesian
0.000 0.000 0.000
0.000 0.000 5.076
0.000 2.513 2.538
2.176 1.257 7.613
0.000 2.513 7.613
2.176 1.257 2.538
```

Top 10 peaks for 10° ≤ 2θ ≤ 90°, in order of rising 2θ:
d 5.076, intensity 31
d 3.534, intensity 25
d 3.026, intensity 100
d 2.538, intensity 25
d 2.176, intensity 46
d 2.000, intensity 15
d 1.767, intensity 19
d 1.652, intensity 37
d 1.544, intensity 12
d 1.372, intensity 15

For MgIn3Pb, a DFT-relaxed cell (PBE, Alexandria) gives the theoretical X-ray powder pattern in this record (Cu Kα (λ = 1.5418 Å)).
Peak positions follow from Bragg's law for the DFT cell and can differ from measured ones.

Crystal structure
```
MgIn3Pb
1.0
2.999 -8.469 0.000
2.999 8.469 0.000
0.000 0.000 5.775
Mg In Pb
2 6 2
Cartesian
2.999 7.584 4.331
2.999 -7.584 1.444
1.457 2.438 4.331
1.457 -2.438 1.444
2.999 0.000 0.000
2.999 0.000 2.888
4.542 2.438 4.331
4.542 -2.438 1.444
2.999 3.066 1.444
2.999 -3.066 4.331
```

Top 10 peaks for 10° ≤ 2θ ≤ 90°, in order of rising 2θ:
d 5.655, intensity 51
d 4.040, intensity 54
d 2.950, intensity 31
d 2.823, intensity 32
d 2.733, intensity 24
d 2.539, intensity 100
d 2.386, intensity 25
d 2.363, intensity 41
d 2.254, intensity 28
d 1.591, intensity 24

For K2TePbS, a DFT-relaxed cell (PBE, Alexandria) gives the theoretical X-ray powder pattern in this record (Cu Kα (λ = 1.5418 Å)).
Peak positions follow from Bragg's law for the DFT cell and can differ from measured ones.

Crystal structure
```
K2TePbS
1.0
9.221 0.000 0.000
0.000 4.561 0.000
-2.488 0.000 9.536
K Te Pb S
4 2 2 2
Cartesian
0.235 1.140 3.872
0.464 1.140 8.428
6.269 3.421 1.109
6.498 3.421 5.664
2.687 3.421 1.702
4.046 1.140 7.834
2.926 3.421 6.044
3.807 1.140 3.492
0.341 3.421 6.216
6.392 1.140 3.320
```

Top 10 peaks for 10° ≤ 2θ ≤ 90°, in order of rising 2θ:
d 7.533, intensity 25
d 4.500, intensity 30
d 3.296, intensity 100
d 3.203, intensity 23
d 3.068, intensity 20
d 2.968, intensity 23
d 2.930, intensity 46
d 2.546, intensity 23
d 2.295, intensity 26
d 2.280, intensity 22

For Nd3Al3Au8, a DFT-relaxed cell (PBE, Alexandria) gives the theoretical X-ray powder pattern in this record (Cu Kα (λ = 1.5418 Å)).
Peak positions follow from Bragg's law for the DFT cell and can differ from measured ones.

Crystal structure
```
Nd3Al3Au8
1.0
8.195 -2.329 0.000
8.195 2.329 0.000
-4.851 0.000 7.651
Nd Al Au
3 3 8
Cartesian
0.000 0.000 0.000
3.487 0.000 2.065
8.051 0.000 5.586
-2.426 0.000 3.826
2.200 0.000 5.136
9.339 0.000 2.516
-1.981 0.000 6.398
0.250 0.000 3.316
1.112 0.000 7.393
4.845 0.000 5.044
6.693 0.000 2.607
10.427 0.000 0.258
11.288 0.000 4.335
13.520 0.000 1.254
```

Top 10 peaks for 10° ≤ 2θ ≤ 90°, in order of rising 2θ:
d 2.963, intensity 30
d 2.670, intensity 96
d 2.638, intensity 100
d 2.534, intensity 22
d 2.393, intensity 33
d 2.380, intensity 20
d 2.329, intensity 62
d 2.307, intensity 19
d 2.028, intensity 19
d 1.397, intensity 16

For CrNi2C, a DFT-relaxed cell (PBE, Alexandria) gives the theoretical X-ray powder pattern in this record (Cu Kα (λ = 1.5418 Å)).
Peak positions follow from Bragg's law for the DFT cell and can differ from measured ones.

Crystal structure
```
CrNi2C
1.0
3.822 0.000 0.000
0.000 3.822 0.000
0.000 0.000 12.481
Cr Ni C
4 8 4
Cartesian
0.000 0.000 0.000
0.000 1.911 3.120
1.911 0.000 9.361
1.911 1.911 6.240
0.632 0.956 7.800
0.956 2.543 10.921
0.956 3.190 4.680
1.279 0.956 1.560
2.543 2.867 1.560
2.867 0.632 4.680
2.867 1.279 10.921
3.190 2.867 7.800
0.000 0.000 6.240
0.000 1.911 9.361
1.911 0.000 3.120
1.911 1.911 0.000
```

Top 10 peaks for 10° ≤ 2θ ≤ 90°, in order of rising 2θ:
d 3.120, intensity 12
d 2.815, intensity 35
d 2.480, intensity 100
d 2.090, intensity 14
d 1.694, intensity 26
d 1.648, intensity 26
d 1.630, intensity 38
d 1.581, intensity 9
d 1.560, intensity 12
d 1.234, intensity 8